1.
The following is a simulated PXRD pattern of Sm3Cd4Hg4. It was derived from a DFT-relaxed cell (PBE, Alexandria), using Cu Ka.
Intensities are scaled so that the largest is 100.

Cell and atoms:
Cell: 3.5563 4.9690 15.7941 Å, 99.03 96.45 90.01°
Positions (direct):
Sm (0.0000, 0.0000, 0.0000)
Sm (0.1401, 0.6397, 0.2801)
Sm (0.8599, 0.3603, 0.7199)
Cd (0.2648, 0.2650, 0.5295)
Cd (0.4089, 0.9084, 0.8164)
Cd (0.5911, 0.0916, 0.1836)
Cd (0.7352, 0.7350, 0.4705)
Hg (0.3149, 0.8166, 0.6323)
Hg (0.4539, 0.4531, 0.9058)
Hg (0.5461, 0.5469, 0.0942)
Hg (0.6851, 0.1834, 0.3677)

Largest 12 diffraction maxima, low angle first, 5 to 70 degrees two-theta:
- 3.533 Å, 25.21 deg, rel. 17
- 2.843 Å, 31.47 deg, rel. 26
- 2.773 Å, 32.29 deg, rel. 52
- 2.709 Å, 33.06 deg, rel. 93
- 2.485 Å, 36.15 deg, rel. 55
- 2.451 Å, 36.67 deg, rel. 100
- 1.850 Å, 49.25 deg, rel. 32
- 1.778 Å, 51.39 deg, rel. 20
- 1.479 Å, 62.81 deg, rel. 14
- 1.446 Å, 64.44 deg, rel. 20
- 1.439 Å, 64.77 deg, rel. 38
- 1.428 Å, 65.35 deg, rel. 18


2.
The following is a simulated PXRD pattern of Sm11Cd4Hg9. It was derived from a DFT-relaxed cell (PBE, Alexandria), using Cu Ka.
Intensities are scaled so that the largest is 100.

Cell and atoms:
Cell: 13.4765 13.4765 3.7398 Å, 90.00 90.00 105.85°
Positions (direct):
Sm (0.0000, 0.0000, 0.0000)
Sm (0.0641, 0.4049, 0.0000)
Sm (0.1863, 0.8137, 0.0000)
Sm (0.2204, 0.2204, 0.0000)
Sm (0.3650, 0.6350, 0.0000)
Sm (0.4049, 0.0641, 0.0000)
Sm (0.5951, 0.9359, 0.0000)
Sm (0.6350, 0.3650, 0.0000)
Sm (0.7796, 0.7796, 0.0000)
Sm (0.8137, 0.1863, 0.0000)
Sm (0.9359, 0.5951, 0.0000)
Cd (0.2723, 0.4275, 0.5000)
Cd (0.4275, 0.2723, 0.5000)
Cd (0.5725, 0.7277, 0.5000)
Cd (0.7277, 0.5725, 0.5000)
Hg (0.0139, 0.2005, 0.5000)
Hg (0.1527, 0.6095, 0.5000)
Hg (0.2005, 0.0139, 0.5000)
Hg (0.3905, 0.8473, 0.5000)
Hg (0.5000, 0.5000, 0.5000)
Hg (0.6095, 0.1527, 0.5000)
Hg (0.7995, 0.9861, 0.5000)
Hg (0.8473, 0.3905, 0.5000)
Hg (0.9861, 0.7995, 0.5000)

Largest 12 diffraction maxima, low angle first, 5 to 70 degrees two-theta:
- 2.780 Å, 32.19 deg, rel. 52
- 2.751 Å, 32.54 deg, rel. 99
- 2.688 Å, 33.34 deg, rel. 83
- 2.670 Å, 33.57 deg, rel. 22
- 2.589 Å, 34.64 deg, rel. 100
- 2.437 Å, 36.88 deg, rel. 20
- 2.031 Å, 44.61 deg, rel. 17
- 1.870 Å, 48.69 deg, rel. 26
- 1.598 Å, 57.70 deg, rel. 13
- 1.535 Å, 60.30 deg, rel. 31
- 1.529 Å, 60.56 deg, rel. 26
- 1.521 Å, 60.92 deg, rel. 24


3.
The following is a simulated PXRD pattern of Sr2SmCd3Hg12. It was derived from a DFT-relaxed cell (PBE, Alexandria), using Cu Ka.
Intensities are scaled so that the largest is 100.

Cell and atoms:
Cell: 13.0538 13.0538 13.0538 Å, 31.57 31.57 31.57°
Positions (direct):
Sr (0.1353, 0.1353, 0.1353)
Sr (0.8647, 0.8647, 0.8647)
Sm (0.5000, 0.5000, 0.5000)
Cd (0.0000, 0.5000, 0.5000)
Cd (0.5000, 0.0000, 0.5000)
Cd (0.5000, 0.5000, 0.0000)
Hg (0.0837, 0.6260, 0.6260)
Hg (0.0916, 0.0916, 0.6568)
Hg (0.0916, 0.6568, 0.0916)
Hg (0.3432, 0.9084, 0.9084)
Hg (0.3740, 0.3740, 0.9163)
Hg (0.3740, 0.9163, 0.3740)
Hg (0.6260, 0.0837, 0.6260)
Hg (0.6260, 0.6260, 0.0837)
Hg (0.6568, 0.0916, 0.0916)
Hg (0.9084, 0.3432, 0.9084)
Hg (0.9084, 0.9084, 0.3432)
Hg (0.9163, 0.3740, 0.3740)

Largest 12 diffraction maxima, low angle first, 5 to 70 degrees two-theta:
- 5.129 Å, 17.29 deg, rel. 33
- 3.182 Å, 28.04 deg, rel. 14
- 3.034 Å, 29.44 deg, rel. 17
- 2.962 Å, 30.17 deg, rel. 17
- 2.920 Å, 30.62 deg, rel. 77
- 2.565 Å, 34.99 deg, rel. 100
- 2.370 Å, 37.97 deg, rel. 51
- 2.066 Å, 43.83 deg, rel. 21
- 2.023 Å, 44.81 deg, rel. 15
- 2.010 Å, 45.11 deg, rel. 16
- 1.776 Å, 51.47 deg, rel. 40
- 1.346 Å, 69.86 deg, rel. 24


4.
The following is a simulated PXRD pattern of Sm4TlCdHg2. It was derived from a DFT-relaxed cell (PBE, Alexandria), using Cu Ka.
Intensities are scaled so that the largest is 100.

Cell and atoms:
Cell: 9.3740 9.3740 9.3740 Å, 33.46 33.46 33.46°
Positions (direct):
Sm (0.1246, 0.1246, 0.1246)
Sm (0.3747, 0.3747, 0.3747)
Sm (0.6253, 0.6253, 0.6253)
Sm (0.8754, 0.8754, 0.8754)
Tl (0.5000, 0.5000, 0.5000)
Cd (0.0000, 0.0000, 0.0000)
Hg (0.2526, 0.2526, 0.2526)
Hg (0.7474, 0.7474, 0.7474)

Largest 12 diffraction maxima, low angle first, 5 to 70 degrees two-theta:
- 8.841 Å, 10.00 deg, rel. 1
- 4.603 Å, 19.28 deg, rel. 1
- 4.411 Å, 20.13 deg, rel. 1
- 3.820 Å, 23.28 deg, rel. 1
- 3.507 Å, 25.40 deg, rel. 1
- 2.701 Å, 33.16 deg, rel. 100
- 2.304 Å, 39.10 deg, rel. 1
- 1.910 Å, 47.61 deg, rel. 18
- 1.562 Å, 59.13 deg, rel. 9
- 1.559 Å, 59.29 deg, rel. 29
- 1.352 Å, 69.53 deg, rel. 6
- 1.349 Å, 69.69 deg, rel. 6


5.
The following is a simulated PXRD pattern of Sm2YCd2Hg2. It was derived from a DFT-relaxed cell (PBE, Alexandria), using Cu Ka.
Intensities are scaled so that the largest is 100.

Cell and atoms:
Cell: 9.4097 9.4097 9.4097 Å, 30.45 30.45 30.45°
Positions (direct):
Sm (0.1254, 0.1254, 0.1254)
Sm (0.8746, 0.8746, 0.8746)
Y (0.0000, 0.0000, 0.0000)
Cd (0.2608, 0.2608, 0.2608)
Cd (0.7392, 0.7392, 0.7392)
Hg (0.3949, 0.3949, 0.3949)
Hg (0.6051, 0.6051, 0.6051)

Largest 12 diffraction maxima, low angle first, 5 to 70 degrees two-theta:
- 4.483 Å, 19.80 deg, rel. 22
- 3.611 Å, 24.65 deg, rel. 29
- 3.350 Å, 26.61 deg, rel. 9
- 2.859 Å, 31.28 deg, rel. 29
- 2.644 Å, 33.90 deg, rel. 75
- 2.471 Å, 36.35 deg, rel. 100
- 2.164 Å, 41.74 deg, rel. 20
- 1.805 Å, 50.55 deg, rel. 24
- 1.793 Å, 50.92 deg, rel. 9
- 1.458 Å, 63.85 deg, rel. 24
- 1.451 Å, 64.17 deg, rel. 27
- 1.427 Å, 65.41 deg, rel. 18


6.
The following is a simulated PXRD pattern of Cd4SnHg7. It was derived from a DFT-relaxed cell (PBE, Alexandria), using Cu Ka.
Intensities are scaled so that the largest is 100.

Cell and atoms:
Cell: 6.7747 6.7747 13.2406 Å, 93.36 93.36 31.04°
Positions (direct):
Cd (0.0000, 0.0000, 0.0000)
Cd (0.3726, 0.3726, 0.1444)
Cd (0.5457, 0.5457, 0.5731)
Cd (0.7430, 0.7430, 0.2838)
Sn (0.2056, 0.2056, 0.7058)
Hg (0.0545, 0.0545, 0.2364)
Hg (0.1933, 0.1933, 0.4623)
Hg (0.3239, 0.3239, 0.9029)
Hg (0.4190, 0.4190, 0.3870)
Hg (0.5553, 0.5553, 0.8233)
Hg (0.6899, 0.6899, 0.0488)
Hg (0.8839, 0.8839, 0.6500)

Largest 12 diffraction maxima, low angle first, 5 to 70 degrees two-theta:
- 3.113 Å, 28.68 deg, rel. 23
- 2.877 Å, 31.08 deg, rel. 24
- 2.745 Å, 32.62 deg, rel. 100
- 2.716 Å, 32.98 deg, rel. 15
- 2.700 Å, 33.18 deg, rel. 25
- 2.546 Å, 35.25 deg, rel. 18
- 2.503 Å, 35.88 deg, rel. 21
- 2.395 Å, 37.56 deg, rel. 17
- 2.381 Å, 37.78 deg, rel. 47
- 2.172 Å, 41.58 deg, rel. 12
- 2.124 Å, 42.56 deg, rel. 15
- 1.813 Å, 50.33 deg, rel. 20


7.
The following is a simulated PXRD pattern of CdSn2Hg2. It was derived from a DFT-relaxed cell (PBE, Alexandria), using Cu Ka.
Intensities are scaled so that the largest is 100.

Cell and atoms:
Cell: 11.6831 11.6831 11.6831 Å, 163.48 163.48 23.45°
Positions (direct):
Cd (0.0000, 0.0000, 0.0000)
Sn (0.1990, 0.1990, 0.0000)
Sn (0.8010, 0.8010, 0.0000)
Hg (0.4060, 0.4060, 0.0000)
Hg (0.5940, 0.5940, 0.0000)

Largest 12 diffraction maxima, low angle first, 5 to 70 degrees two-theta:
- 11.439 Å, 7.73 deg, rel. 6
- 5.720 Å, 15.49 deg, rel. 2
- 3.813 Å, 23.33 deg, rel. 3
- 3.322 Å, 26.83 deg, rel. 6
- 2.707 Å, 33.09 deg, rel. 100
- 2.374 Å, 37.89 deg, rel. 35
- 2.288 Å, 39.38 deg, rel. 15
- 1.679 Å, 54.67 deg, rel. 12
- 1.648 Å, 55.80 deg, rel. 22
- 1.427 Å, 65.41 deg, rel. 29
- 1.389 Å, 67.44 deg, rel. 11
- 1.354 Å, 69.44 deg, rel. 11


8.
The following is a simulated PXRD pattern of Cd3Sn2Hg6. It was derived from a DFT-relaxed cell (PBE, Alexandria), using Cu Ka.
Intensities are scaled so that the largest is 100.

Cell and atoms:
Cell: 7.5591 5.8952 13.5413 Å, 90.00 94.28 90.00°
Positions (direct):
Cd (0.0000, 0.0000, 0.0000)
Cd (0.0000, 0.5000, 0.5000)
Cd (0.2797, 0.1170, 0.8380)
Cd (0.2797, 0.3830, 0.3380)
Cd (0.7203, 0.6170, 0.6620)
Cd (0.7203, 0.8830, 0.1620)
Sn (0.3739, 0.1241, 0.0708)
Sn (0.3739, 0.3759, 0.5708)
Sn (0.6261, 0.6241, 0.4292)
Sn (0.6261, 0.8759, 0.9292)
Hg (0.0548, 0.6143, 0.1843)
Hg (0.0548, 0.8857, 0.6843)
Hg (0.2527, 0.5902, 0.9934)
Hg (0.2527, 0.9098, 0.4934)
Hg (0.3797, 0.5907, 0.7801)
Hg (0.3797, 0.9093, 0.2801)
Hg (0.6203, 0.0907, 0.7199)
Hg (0.6203, 0.4093, 0.2199)
Hg (0.7473, 0.0902, 0.5066)
Hg (0.7473, 0.4098, 0.0066)
Hg (0.9452, 0.1143, 0.3157)
Hg (0.9452, 0.3857, 0.8157)

Largest 12 diffraction maxima, low angle first, 5 to 70 degrees two-theta:
- 3.376 Å, 26.40 deg, rel. 11
- 3.191 Å, 27.96 deg, rel. 12
- 3.049 Å, 29.29 deg, rel. 32
- 2.792 Å, 32.05 deg, rel. 17
- 2.676 Å, 33.49 deg, rel. 100
- 2.614 Å, 34.31 deg, rel. 17
- 2.521 Å, 35.61 deg, rel. 15
- 2.513 Å, 35.73 deg, rel. 12
- 2.455 Å, 36.60 deg, rel. 18
- 2.306 Å, 39.06 deg, rel. 14
- 1.952 Å, 46.52 deg, rel. 11
- 1.797 Å, 50.82 deg, rel. 15


9.
The following is a simulated PXRD pattern of Cd23SnHg6. It was derived from a DFT-relaxed cell (PBE, Alexandria), using Cu Ka.
Intensities are scaled so that the largest is 100.

Cell and atoms:
Cell: 10.6242 10.6242 10.6242 Å, 127.87 127.87 76.84°
Positions (direct):
Cd (0.0000, 0.0000, 0.0000)
Cd (0.0000, 0.0000, 0.5000)
Cd (0.0000, 0.5000, 0.0000)
Cd (0.0000, 0.5000, 0.5000)
Cd (0.0409, 0.3542, 0.6867)
Cd (0.1010, 0.8689, 0.2321)
Cd (0.1311, 0.3632, 0.2321)
Cd (0.1311, 0.8990, 0.7679)
Cd (0.3325, 0.6458, 0.6867)
Cd (0.3542, 0.0409, 0.6867)
Cd (0.3542, 0.6675, 0.3133)
Cd (0.3632, 0.1311, 0.2321)
Cd (0.5000, 0.0000, 0.0000)
Cd (0.5000, 0.0000, 0.5000)
Cd (0.5000, 0.5000, 0.5000)
Cd (0.6368, 0.8689, 0.7679)
Cd (0.6458, 0.3325, 0.6867)
Cd (0.6458, 0.9591, 0.3133)
Cd (0.6675, 0.3542, 0.3133)
Cd (0.8689, 0.1010, 0.2321)
Cd (0.8689, 0.6368, 0.7679)
Cd (0.8990, 0.1311, 0.7679)
Cd (0.9591, 0.6458, 0.3133)
Sn (0.5000, 0.5000, 0.0000)
Hg (0.2639, 0.2639, 0.5277)
Hg (0.2639, 0.7361, 0.0000)
Hg (0.3084, 0.3084, 0.0000)
Hg (0.6916, 0.6916, 0.0000)
Hg (0.7361, 0.2639, 0.0000)
Hg (0.7361, 0.7361, 0.4723)

Largest 12 diffraction maxima, low angle first, 5 to 70 degrees two-theta:
- 3.136 Å, 28.46 deg, rel. 8
- 3.107 Å, 28.74 deg, rel. 12
- 3.067 Å, 29.11 deg, rel. 9
- 2.776 Å, 32.24 deg, rel. 14
- 2.715 Å, 33.00 deg, rel. 15
- 2.586 Å, 34.68 deg, rel. 100
- 2.559 Å, 35.07 deg, rel. 13
- 2.334 Å, 38.57 deg, rel. 43
- 2.081 Å, 43.49 deg, rel. 9
- 1.651 Å, 55.69 deg, rel. 10
- 1.553 Å, 59.51 deg, rel. 11
- 1.391 Å, 67.29 deg, rel. 16


10.
The following is a simulated PXRD pattern of Cd4SnHg8. It was derived from a DFT-relaxed cell (PBE, Alexandria), using Cu Ka.
Intensities are scaled so that the largest is 100.

Cell and atoms:
Cell: 5.9757 5.9757 16.2443 Å, 95.43 95.43 35.37°
Positions (direct):
Cd (0.0000, 0.0000, 0.0000)
Cd (0.2772, 0.2772, 0.2638)
Cd (0.5278, 0.5278, 0.5590)
Cd (0.8070, 0.8070, 0.8260)
Sn (0.9012, 0.9012, 0.4110)
Hg (0.1381, 0.1381, 0.7050)
Hg (0.2162, 0.2162, 0.4946)
Hg (0.2720, 0.2720, 0.9784)
Hg (0.5358, 0.5358, 0.8470)
Hg (0.5932, 0.5932, 0.3349)
Hg (0.6708, 0.6708, 0.1194)
Hg (0.8591, 0.8591, 0.6484)
Hg (0.9523, 0.9523, 0.1794)

Largest 12 diffraction maxima, low angle first, 5 to 70 degrees two-theta:
- 3.145 Å, 28.38 deg, rel. 35
- 2.695 Å, 33.25 deg, rel. 38
- 2.667 Å, 33.60 deg, rel. 100
- 2.616 Å, 34.28 deg, rel. 71
- 2.592 Å, 34.61 deg, rel. 29
- 2.556 Å, 35.11 deg, rel. 56
- 2.436 Å, 36.90 deg, rel. 20
- 1.967 Å, 46.14 deg, rel. 17
- 1.816 Å, 50.25 deg, rel. 32
- 1.543 Å, 59.95 deg, rel. 14
- 1.506 Å, 61.59 deg, rel. 26
- 1.460 Å, 63.75 deg, rel. 15


11.
The following is a simulated PXRD pattern of Cd4Sn3Hg4. It was derived from a DFT-relaxed cell (PBE, Alexandria), using Cu Ka.
Intensities are scaled so that the largest is 100.

Cell and atoms:
Cell: 9.3200 7.0404 7.0404 Å, 38.33 90.00 90.00°
Positions (direct):
Cd (0.0000, 0.0000, 0.0000)
Cd (0.2473, 0.8282, 0.8282)
Cd (0.5000, 0.9749, 0.9749)
Cd (0.7527, 0.8282, 0.8282)
Sn (0.0000, 0.3224, 0.3224)
Sn (0.2617, 0.4908, 0.4908)
Sn (0.7383, 0.4908, 0.4908)
Hg (0.0000, 0.6535, 0.6535)
Hg (0.2757, 0.1674, 0.1674)
Hg (0.5000, 0.6887, 0.6887)
Hg (0.7243, 0.1674, 0.1674)

Largest 12 diffraction maxima, low angle first, 5 to 70 degrees two-theta:
- 6.650 Å, 13.31 deg, rel. 11
- 3.186 Å, 28.00 deg, rel. 11
- 2.638 Å, 33.99 deg, rel. 100
- 2.330 Å, 38.64 deg, rel. 17
- 2.312 Å, 38.96 deg, rel. 19
- 2.217 Å, 40.70 deg, rel. 14
- 1.641 Å, 56.04 deg, rel. 12
- 1.606 Å, 57.37 deg, rel. 9
- 1.600 Å, 57.61 deg, rel. 10
- 1.397 Å, 66.97 deg, rel. 11
- 1.389 Å, 67.40 deg, rel. 14
- 1.348 Å, 69.79 deg, rel. 8


12.
The following is a simulated PXRD pattern of Cd4SnHg4. It was derived from a DFT-relaxed cell (PBE, Alexandria), using Cu Ka.
Intensities are scaled so that the largest is 100.

Cell and atoms:
Cell: 7.2944 7.2944 7.2944 Å, 95.54 95.54 143.79°
Positions (direct):
Cd (0.0000, 0.3384, 0.3384)
Cd (0.0000, 0.6616, 0.6616)
Cd (0.3384, 0.0000, 0.3384)
Cd (0.6616, 0.0000, 0.6616)
Sn (0.0000, 0.0000, 0.0000)
Hg (0.3299, 0.3299, 0.6597)
Hg (0.3299, 0.6701, 0.0000)
Hg (0.6701, 0.3299, 0.0000)
Hg (0.6701, 0.6701, 0.3403)

Largest 12 diffraction maxima, low angle first, 5 to 70 degrees two-theta:
- 4.903 Å, 18.09 deg, rel. 4
- 4.115 Å, 21.60 deg, rel. 4
- 3.152 Å, 28.32 deg, rel. 2
- 3.101 Å, 28.79 deg, rel. 2
- 2.651 Å, 33.81 deg, rel. 100
- 2.332 Å, 38.61 deg, rel. 2
- 2.311 Å, 38.97 deg, rel. 34
- 2.267 Å, 39.77 deg, rel. 16
- 1.634 Å, 56.30 deg, rel. 11
- 1.618 Å, 56.90 deg, rel. 22
- 1.391 Å, 67.31 deg, rel. 27
- 1.372 Å, 68.40 deg, rel. 13